Structure and calculated powder XRD pattern of Gd2InHg (a structure optimized by DFT (GGA-PBE); Cu Ka).

Atomic structure:
Cell lengths 7.350, 7.350, 7.350 Å; angles 90.00, 90.00, 90.00 degrees
Fractional positions:
Gd 0.250 0.250 0.250
Gd 0.250 0.250 0.750
Gd 0.250 0.750 0.250
Gd 0.250 0.750 0.750
Gd 0.750 0.250 0.250
Gd 0.750 0.250 0.750
Gd 0.750 0.750 0.250
Gd 0.750 0.750 0.750
In 0.000 0.000 0.000
In 0.000 0.500 0.500
In 0.500 0.000 0.500
In 0.500 0.500 0.000
Hg 0.000 0.000 0.500
Hg 0.000 0.500 0.000
Hg 0.500 0.000 0.000
Hg 0.500 0.500 0.500

Most intense lines, 2θ from 15° to 90°, most intense first:
34.51°, intensity 100, (2 2 0); 61.84°, intensity 37, (4 2 2); 49.61°, intensity 18, (4 0 0); 83.11°, intensity 16, (6 2 0); 72.79°, intensity 11, (4 4 0); 20.93°, intensity 4, (1 1 1); 40.71°, intensity 2, (3 1 1); 54.41°, intensity 1, (3 3 1); 76.71°, intensity 1, (5 3 1); 66.05°, intensity 1, (5 1 1)